This entry pairs a crystal structure of Zr2Sb3Pd with its calculated powder XRD pattern. Radiation: Cu Ka. Structure: a structure optimized by DFT (GGA-PBE).
Kinematic intensities with the Lorentz-polarization factor, no thermal factor.

Largest 8 diffraction maxima, low angle first, 2θ from 10° to 90°:
30.5 deg, 2.929 Å, rel. 33, (1 0 2)
30.8 deg, 2.903 Å, rel. 31, (0 0 3)
33.6 deg, 2.665 Å, rel. 100, (1 1 1)
38.2 deg, 2.355 Å, rel. 60, (1 1 2)
38.5 deg, 2.341 Å, rel. 54, (1 0 3)
45.8 deg, 1.980 Å, rel. 50, (2 0 0)
56.2 deg, 1.635 Å, rel. 22, (2 0 3)
61.3 deg, 1.512 Å, rel. 27, (2 1 3)

Cell and atoms:
```
Zr2Sb3Pd
1.0
3.959 0.000 0.000
0.000 3.959 0.000
0.000 0.000 8.709
Zr Sb Pd
2 3 1
Cartesian
0.000 1.980 2.073 Zr
1.980 0.000 6.636 Zr
0.000 1.980 7.683 Sb
1.980 0.000 1.026 Sb
1.980 1.980 4.354 Sb
0.000 0.000 4.354 Pd
```